Entry 1:
Pu3Pa2Ga: theoretical powder diffractogram (Cu Kα), based on the PBE geometry in Alexandria.
No peak broadening, texture or thermal motion is included.

abc: 4.7464 9.2086 6.1514
angles: 90.00 90.00 90.00
Space group Pmc2_1 (No. 26)
One atom of each set of equivalent atoms:
Pu (0.0000, 0.0387, 0.0000) [2 per cell]
Pu (0.0000, 0.3151, 0.4879) [2 per cell]
Pu (0.5000, 0.4278, 0.6077) [2 per cell]
Pa (0.0000, 0.3533, 0.0311) [2 per cell]
Pa (0.5000, 0.1539, 0.7597) [2 per cell]
Ga (0.5000, 0.1806, 0.2603) [2 per cell]

Principal peaks in the range 2θ from 10° to 90°, low angle first:
- 25.6°, rel. 16, hkl 1 1 1
- 29.0°, rel. 14, hkl 0 0 2
- 30.7°, rel. 10, hkl 0 1 2
- 34.8°, rel. 100, hkl 1 3 0
- 37.9°, rel. 60, hkl 2 0 0
- 41.6°, rel. 26, hkl 0 3 2
- 52.5°, rel. 12, hkl 1 2 3
- 57.5°, rel. 23, hkl 2 3 2
- 66.5°, rel. 16, hkl 3 3 0
- 71.5°, rel. 17, hkl 1 3 4

Entry 2:
PuPa2Ga3: theoretical powder diffractogram (Cu Kα), based on the PBE geometry in Alexandria.
No peak broadening, texture or thermal motion is included.

abc: 3.8953 3.8953 8.7473
angles: 90.00 90.00 90.00
Space group P4/mmm (No. 123)
One atom of each set of equivalent atoms:
Pu (0.0000, 0.0000, 0.0000) [1 per cell]
Pa (0.0000, 0.0000, 0.3313) [2 per cell]
Ga (0.5000, 0.5000, 0.1626) [2 per cell]
Ga (0.5000, 0.5000, 0.5000) [1 per cell]

Principal peaks in the range 2θ from 10° to 90°, low angle first:
- 22.8°, rel. 49, hkl 1 0 0
- 30.7°, rel. 12, hkl 0 0 3
- 32.5°, rel. 79, hkl 1 1 0
- 38.6°, rel. 100, hkl 1 0 3
- 45.3°, rel. 17, hkl 1 1 3
- 46.6°, rel. 29, hkl 2 0 0
- 62.1°, rel. 50, hkl 2 1 3
- 73.5°, rel. 15, hkl 1 1 6
- 77.5°, rel. 13, hkl 3 1 0
- 81.1°, rel. 12, hkl 3 0 3

Entry 3:
Pu4PaGa2: theoretical powder diffractogram (Cu Kα), based on the PBE geometry in Alexandria.
No peak broadening, texture or thermal motion is included.

abc: 5.7934 9.8624 10.0732
angles: 90.00 90.00 90.00
Space group Fmmm (No. 69)
One atom of each set of equivalent atoms:
Pu (0.2500, 0.2500, 0.0000) [8 per cell]
Pu (0.2500, 0.2500, 0.2500) [8 per cell]
Pa (0.0000, 0.0000, 0.0000) [4 per cell]
Ga (0.0000, 0.0000, 0.3614) [8 per cell]

Principal peaks in the range 2θ from 10° to 90°, low angle first:
- 18.0°, rel. 49, hkl 0 2 0
- 32.1°, rel. 20, hkl 1 1 3
- 35.7°, rel. 31, hkl 0 0 4
- 36.0°, rel. 100, hkl 2 2 0
- 36.4°, rel. 48, hkl 0 4 0
- 40.2°, rel. 35, hkl 0 2 4
- 47.9°, rel. 19, hkl 2 0 4
- 51.5°, rel. 45, hkl 2 2 4
- 51.9°, rel. 24, hkl 0 4 4
- 65.3°, rel. 18, hkl 2 6 0

Entry 4:
PuPaGa6: theoretical powder diffractogram (Cu Kα), based on the PBE geometry in Alexandria.
No peak broadening, texture or thermal motion is included.

abc: 6.0590 6.0590 4.2966
angles: 90.00 90.00 90.00
Space group P4/mmm (No. 123)
One atom of each set of equivalent atoms:
Pu (0.0000, 0.0000, 0.0000) [1 per cell]
Pa (0.5000, 0.5000, 0.0000) [1 per cell]
Ga (0.0000, 0.5000, 0.0000) [2 per cell]
Ga (0.2482, 0.2482, 0.5000) [4 per cell]

Principal peaks in the range 2θ from 10° to 90°, low angle first:
- 20.7°, rel. 36, hkl 1 1 0
- 29.5°, rel. 31, hkl 2 0 0
- 36.3°, rel. 100, hkl 2 0 1
- 42.1°, rel. 17, hkl 0 0 2
- 42.2°, rel. 33, hkl 2 2 0
- 47.4°, rel. 12, hkl 2 2 1
- 52.3°, rel. 13, hkl 3 1 1
- 61.1°, rel. 33, hkl 4 0 0
- 73.1°, rel. 13, hkl 2 0 3
- 73.3°, rel. 26, hkl 4 2 1